Theoretical PXRD pattern of Nb2Pt6Rh3 for copper Kα, from DFT lattice parameters and positions (PBE).
Peak positions follow from Bragg's law for the DFT cell and can differ from measured ones.

Cell and atoms:
abc: 5.402 5.402 14.610
angles: 90.17 90.17 53.72
Sites, in units of the cell vectors:
Nb (0.052, 0.220, 0.023)
Nb (0.220, 0.052, 0.523)
Nb (0.780, 0.948, 0.477)
Nb (0.948, 0.780, 0.977)
Pt (0.043, 0.873, 0.159)
Pt (0.127, 0.957, 0.341)
Pt (0.230, 0.396, 0.386)
Pt (0.329, 0.486, 0.569)
Pt (0.396, 0.230, 0.886)
Pt (0.486, 0.329, 0.069)
Pt (0.514, 0.671, 0.931)
Pt (0.604, 0.770, 0.114)
Pt (0.671, 0.514, 0.431)
Pt (0.770, 0.604, 0.614)
Pt (0.873, 0.043, 0.659)
Pt (0.957, 0.127, 0.841)
Rh (0.143, 0.311, 0.206)
Rh (0.311, 0.143, 0.706)
Rh (0.410, 0.590, 0.750)
Rh (0.590, 0.410, 0.250)
Rh (0.689, 0.857, 0.294)
Rh (0.857, 0.689, 0.794)

Principal peaks in the range 2θ from 15° to 90°, in order of rising 2θ:
d = 2.441 Å, I 24
d = 2.425 Å, I 47
d = 2.290 Å, I 81
d = 2.160 Å, I 100
d = 2.154 Å, I 99
d = 2.127 Å, I 96
d = 1.406 Å, I 34
d = 1.303 Å, I 21
d = 1.204 Å, I 30
d = 1.193 Å, I 20

***

Theoretical PXRD pattern of NbRuPtRh for copper Kα, from DFT lattice parameters and positions (PBE).
Peak positions follow from Bragg's law for the DFT cell and can differ from measured ones.

Cell and atoms:
abc: 3.852 3.919 4.016
angles: 90.00 90.00 90.00
Sites, in units of the cell vectors:
Nb (0.000, 0.000, 0.000)
Ru (0.500, 0.500, 0.000)
Pt (0.000, 0.500, 0.500)
Rh (0.500, 0.000, 0.500)

Principal peaks in the range 2θ from 15° to 90°, in order of rising 2θ:
d = 2.268 Å, I 100
d = 2.008 Å, I 17
d = 1.960 Å, I 16
d = 1.926 Å, I 15
d = 1.402 Å, I 11
d = 1.390 Å, I 10
d = 1.203 Å, I 13
d = 1.182 Å, I 12
d = 1.168 Å, I 12
d = 1.134 Å, I 11

***

Theoretical PXRD pattern of NbRuPt2Rh2 for copper Kα, from DFT lattice parameters and positions (PBE).
Peak positions follow from Bragg's law for the DFT cell and can differ from measured ones.

Cell and atoms:
abc: 5.026 5.175 7.317
angles: 90.00 96.71 90.00
Sites, in units of the cell vectors:
Nb (0.086, 0.250, 0.275)
Nb (0.914, 0.750, 0.725)
Ru (0.112, 0.750, 0.411)
Ru (0.888, 0.250, 0.589)
Pt (0.428, 0.003, 0.676)
Pt (0.428, 0.497, 0.676)
Pt (0.572, 0.503, 0.324)
Pt (0.572, 0.997, 0.324)
Rh (0.121, 0.250, 0.920)
Rh (0.365, 0.750, 0.996)
Rh (0.635, 0.250, 0.004)
Rh (0.879, 0.750, 0.080)

Principal peaks in the range 2θ from 15° to 90°, in order of rising 2θ:
d = 4.992 Å, I 40
d = 2.437 Å, I 32
d = 2.422 Å, I 65
d = 2.297 Å, I 100
d = 2.280 Å, I 46
d = 2.179 Å, I 65
d = 2.157 Å, I 60
d = 2.108 Å, I 36
d = 2.086 Å, I 42
d = 1.990 Å, I 77

***

Theoretical PXRD pattern of NbTcPtRh for copper Kα, from DFT lattice parameters and positions (PBE).
Peak positions follow from Bragg's law for the DFT cell and can differ from measured ones.

Cell and atoms:
abc: 3.876 3.920 4.038
angles: 90.00 90.00 90.00
Sites, in units of the cell vectors:
Nb (0.000, 0.000, 0.000)
Tc (0.500, 0.500, 0.000)
Pt (0.000, 0.500, 0.500)
Rh (0.500, 0.000, 0.500)

Principal peaks in the range 2θ from 15° to 90°, in order of rising 2θ:
d = 2.276 Å, I 100
d = 2.019 Å, I 17
d = 1.960 Å, I 16
d = 1.938 Å, I 15
d = 1.406 Å, I 11
d = 1.398 Å, I 10
d = 1.209 Å, I 13
d = 1.184 Å, I 12
d = 1.174 Å, I 12
d = 1.138 Å, I 11

***

Theoretical PXRD pattern of NbTcPt2Rh2 for copper Kα, from DFT lattice parameters and positions (PBE).
Peak positions follow from Bragg's law for the DFT cell and can differ from measured ones.

Cell and atoms:
abc: 5.020 5.217 7.296
angles: 90.00 96.72 90.00
Sites, in units of the cell vectors:
Nb (0.100, 0.250, 0.282)
Nb (0.900, 0.750, 0.718)
Tc (0.115, 0.750, 0.398)
Tc (0.885, 0.250, 0.602)
Pt (0.409, 0.003, 0.670)
Pt (0.409, 0.497, 0.670)
Pt (0.591, 0.503, 0.330)
Pt (0.591, 0.997, 0.330)
Rh (0.121, 0.250, 0.925)
Rh (0.366, 0.750, 0.995)
Rh (0.634, 0.250, 0.005)
Rh (0.879, 0.750, 0.075)

Principal peaks in the range 2θ from 15° to 90°, in order of rising 2θ:
d = 4.986 Å, I 38
d = 2.454 Å, I 51
d = 2.415 Å, I 87
d = 2.311 Å, I 100
d = 2.278 Å, I 81
d = 2.176 Å, I 70
d = 2.168 Å, I 81
d = 2.117 Å, I 33
d = 2.087 Å, I 33
d = 1.998 Å, I 92

***

Theoretical PXRD pattern of Nb6Ru5Pt for copper Kα, from DFT lattice parameters and positions (PBE).
Peak positions follow from Bragg's law for the DFT cell and can differ from measured ones.

Cell and atoms:
abc: 5.857 5.857 8.103
angles: 90.00 90.00 135.54
Sites, in units of the cell vectors:
Nb (0.000, 0.000, 0.223)
Nb (0.000, 0.000, 0.777)
Nb (0.333, 0.667, 0.269)
Nb (0.333, 0.667, 0.731)
Nb (0.667, 0.333, 0.269)
Nb (0.667, 0.333, 0.731)
Ru (0.152, 0.848, 0.500)
Ru (0.182, 0.818, 0.000)
Ru (0.500, 0.500, 0.500)
Ru (0.818, 0.182, 0.000)
Ru (0.848, 0.152, 0.500)
Pt (0.500, 0.500, 0.000)

Principal peaks in the range 2θ from 15° to 90°, in order of rising 2θ:
d = 2.304 Å, I 100
d = 2.216 Å, I 24
d = 2.026 Å, I 16
d = 1.807 Å, I 11
d = 1.495 Å, I 12
d = 1.401 Å, I 10
d = 1.296 Å, I 15
d = 1.216 Å, I 9
d = 1.152 Å, I 9
d = 1.118 Å, I 8

***

Theoretical PXRD pattern of Nb2Ru4Pt for copper Kα, from DFT lattice parameters and positions (PBE).
Peak positions follow from Bragg's law for the DFT cell and can differ from measured ones.

Cell and atoms:
abc: 5.075 9.769 5.011
angles: 90.00 116.92 90.00
Sites, in units of the cell vectors:
Nb (0.174, 0.040, 0.345)
Nb (0.174, 0.460, 0.845)
Nb (0.826, 0.540, 0.155)
Nb (0.826, 0.960, 0.655)
Ru (0.079, 0.188, 0.818)
Ru (0.079, 0.312, 0.318)
Ru (0.415, 0.727, 0.166)
Ru (0.415, 0.773, 0.666)
Ru (0.585, 0.227, 0.334)
Ru (0.585, 0.273, 0.834)
Ru (0.921, 0.688, 0.682)
Ru (0.921, 0.812, 0.182)
Pt (0.500, 0.000, 0.000)
Pt (0.500, 0.500, 0.500)

Principal peaks in the range 2θ from 15° to 90°, in order of rising 2θ:
d = 2.547 Å, I 49
d = 2.452 Å, I 66
d = 2.442 Å, I 59
d = 2.228 Å, I 63
d = 2.204 Å, I 56
d = 2.178 Å, I 51
d = 2.149 Å, I 50
d = 2.123 Å, I 74
d = 2.050 Å, I 100
d = 1.967 Å, I 55

***

Theoretical PXRD pattern of NbTcRuPt for copper Kα, from DFT lattice parameters and positions (PBE).
Peak positions follow from Bragg's law for the DFT cell and can differ from measured ones.

Cell and atoms:
abc: 3.938 3.944 3.946
angles: 90.00 90.00 90.00
Sites, in units of the cell vectors:
Nb (0.000, 0.000, 0.000)
Tc (0.500, 0.000, 0.500)
Ru (0.500, 0.500, 0.000)
Pt (0.000, 0.500, 0.500)

Principal peaks in the range 2θ from 15° to 90°, in order of rising 2θ:
d = 3.943 Å, I 11
d = 2.788 Å, I 9
d = 2.276 Å, I 100
d = 1.972 Å, I 32
d = 1.969 Å, I 16
d = 1.763 Å, I 5
d = 1.394 Å, I 31
d = 1.189 Å, I 25
d = 1.188 Å, I 12
d = 1.138 Å, I 11

***

Theoretical PXRD pattern of Sc3NbPt for copper Kα, from DFT lattice parameters and positions (PBE).
Peak positions follow from Bragg's law for the DFT cell and can differ from measured ones.

Cell and atoms:
abc: 5.027 5.027 5.027
angles: 90.00 90.00 90.00
Sites, in units of the cell vectors:
Sc (0.000, 0.000, 0.500)
Sc (0.000, 0.500, 0.000)
Sc (0.500, 0.000, 0.000)
Nb (0.500, 0.500, 0.500)
Pt (0.000, 0.000, 0.000)

Principal peaks in the range 2θ from 15° to 90°, in order of rising 2θ:
d = 5.027 Å, I 38
d = 3.555 Å, I 100
d = 2.514 Å, I 61
d = 2.248 Å, I 20
d = 2.052 Å, I 45
d = 1.777 Å, I 42
d = 1.590 Å, I 20
d = 1.451 Å, I 14
d = 1.344 Å, I 23
d = 1.124 Å, I 18

***

Theoretical PXRD pattern of ScNbPt for copper Kα, from DFT lattice parameters and positions (PBE).
Peak positions follow from Bragg's law for the DFT cell and can differ from measured ones.

Cell and atoms:
abc: 3.300 4.352 7.902
angles: 90.00 90.06 90.00
Sites, in units of the cell vectors:
Sc (0.249, 0.250, 0.141)
Sc (0.751, 0.750, 0.859)
Nb (0.250, 0.750, 0.489)
Nb (0.750, 0.250, 0.511)
Pt (0.251, 0.250, 0.784)
Pt (0.749, 0.750, 0.216)

Principal peaks in the range 2θ from 15° to 90°, in order of rising 2θ:
d = 3.812 Å, I 71
d = 3.045 Å, I 34
d = 2.632 Å, I 56
d = 2.495 Å, I 51
d = 2.253 Å, I 17
d = 2.189 Å, I 100
d = 2.176 Å, I 35
d = 2.059 Å, I 20
d = 1.678 Å, I 17
d = 1.355 Å, I 17

***

Theoretical PXRD pattern of Nb3SiPt for copper Kα, from DFT lattice parameters and positions (PBE).
Peak positions follow from Bragg's law for the DFT cell and can differ from measured ones.

Cell and atoms:
abc: 4.599 4.599 4.599
angles: 90.00 90.00 90.00
Sites, in units of the cell vectors:
Nb (0.000, 0.000, 0.500)
Nb (0.000, 0.500, 0.000)
Nb (0.500, 0.000, 0.000)
Si (0.000, 0.000, 0.000)
Pt (0.500, 0.500, 0.500)

Principal peaks in the range 2θ from 15° to 90°, in order of rising 2θ:
d = 4.599 Å, I 6
d = 3.252 Å, I 19
d = 2.655 Å, I 100
d = 2.299 Å, I 63
d = 1.877 Å, I 9
d = 1.626 Å, I 43
d = 1.387 Å, I 39
d = 1.328 Å, I 14
d = 1.229 Å, I 5
d = 1.150 Å, I 7

***

Theoretical PXRD pattern of U2NbSi4Pt3 for copper Kα, from DFT lattice parameters and positions (PBE).
Peak positions follow from Bragg's law for the DFT cell and can differ from measured ones.

Cell and atoms:
abc: 4.216 4.216 10.061
angles: 90.00 90.00 90.00
Sites, in units of the cell vectors:
U (0.000, 0.500, 0.246)
U (0.500, 0.000, 0.754)
Nb (0.000, 0.000, 0.500)
Si (0.000, 0.000, 0.000)
Si (0.000, 0.500, 0.644)
Si (0.500, 0.000, 0.356)
Si (0.500, 0.500, 0.000)
Pt (0.000, 0.500, 0.882)
Pt (0.500, 0.000, 0.118)
Pt (0.500, 0.500, 0.500)

Principal peaks in the range 2θ from 15° to 90°, in order of rising 2θ:
d = 3.231 Å, I 28
d = 2.981 Å, I 34
d = 2.858 Å, I 48
d = 2.625 Å, I 100
d = 2.565 Å, I 91
d = 2.108 Å, I 66
d = 1.816 Å, I 28
d = 1.644 Å, I 50
d = 1.491 Å, I 22
d = 1.376 Å, I 23

***

Theoretical PXRD pattern of SmNbPt for copper Kα, from DFT lattice parameters and positions (PBE).
Peak positions follow from Bragg's law for the DFT cell and can differ from measured ones.

Cell and atoms:
abc: 5.019 5.032 10.363
angles: 90.00 90.00 90.00
Sites, in units of the cell vectors:
Sm (0.000, 0.000, 0.169)
Sm (0.000, 0.000, 0.831)
Sm (0.500, 0.500, 0.169)
Sm (0.500, 0.500, 0.831)
Nb (0.000, 0.500, 0.380)
Nb (0.000, 0.500, 0.620)
Nb (0.500, 0.000, 0.380)
Nb (0.500, 0.000, 0.620)
Pt (0.000, 0.000, 0.500)
Pt (0.000, 0.500, 0.000)
Pt (0.500, 0.000, 0.000)
Pt (0.500, 0.500, 0.500)

Principal peaks in the range 2θ from 15° to 90°, in order of rising 2θ:
d = 5.181 Å, I 14
d = 2.513 Å, I 62
d = 2.477 Å, I 100
d = 1.790 Å, I 8
d = 1.777 Å, I 22
d = 1.445 Å, I 19
d = 1.443 Å, I 19
d = 1.423 Å, I 12
d = 1.238 Å, I 7
d = 1.121 Å, I 8

***

Theoretical PXRD pattern of Nb12Sn3Pt for copper Kα, from DFT lattice parameters and positions (PBE).
Peak positions follow from Bragg's law for the DFT cell and can differ from measured ones.

Cell and atoms:
abc: 5.279 5.292 10.622
angles: 90.00 90.00 90.00
Sites, in units of the cell vectors:
Nb (0.000, 0.000, 0.119)
Nb (0.000, 0.000, 0.370)
Nb (0.000, 0.000, 0.630)
Nb (0.000, 0.000, 0.881)
Nb (0.248, 0.500, 0.244)
Nb (0.248, 0.500, 0.756)
Nb (0.500, 0.246, 0.500)
Nb (0.500, 0.256, 0.000)
Nb (0.500, 0.744, 0.000)
Nb (0.500, 0.754, 0.500)
Nb (0.752, 0.500, 0.244)
Nb (0.752, 0.500, 0.756)
Sn (0.000, 0.500, 0.500)
Sn (0.500, 0.000, 0.251)
Sn (0.500, 0.000, 0.749)
Pt (0.000, 0.500, 0.000)

Principal peaks in the range 2θ from 15° to 90°, in order of rising 2θ:
d = 2.656 Å, I 23
d = 2.643 Å, I 45
d = 2.372 Å, I 60
d = 2.364 Å, I 69
d = 2.163 Å, I 100
d = 2.158 Å, I 50
d = 1.470 Å, I 14
d = 1.466 Å, I 13
d = 1.417 Å, I 39
d = 1.413 Å, I 38